Pr2GdTl: computed powder diffraction line list (Cu Kα), based on a cell relaxed with PBE.
Lines closer than 0.1° are merged.

Most intense lines, 2θ = 10–90°, most intense first:
d_spacing	I (rel.)
2.811	100
1.623	39
1.988	19
1.257	17
1.405	12
1.147	4
3.975	1
4.590	1
1.778	1
2.397	1

a b c (Å): 7.950 7.950 7.950
angles (deg): 90.00 90.00 90.00
Space group Fm-3m (No. 225)
Symmetry-distinct sites (fractional):
Pr1 0.250 0.250 0.250 (multiplicity 8)
Gd1 0.000 0.000 0.000 (multiplicity 4)
Tl1 0.000 0.000 0.500 (multiplicity 4)

Rb2Np3GeS8: computed powder diffraction line list (Cu Kα), based on a cell relaxed with PBE.
Lines closer than 0.1° are merged.

Most intense lines, 2θ = 10–90°, most intense first:
d_spacing	I (rel.)
8.089	100
3.013	55
3.436	48
3.592	40
2.453	34
2.004	33
2.284	32
3.978	28
3.337	27
6.675	22

a b c (Å): 8.0167 8.0167 24.2668
angles (deg): 90.00 90.00 120.00
Space group R3m (No. 160, hexagonal axes)
Symmetry-distinct sites (fractional):
Rb1 0.0000 0.0000 0.0000 (multiplicity 3)
Rb2 0.0000 0.0000 0.3617 (multiplicity 3)
Np1 0.1692 0.3383 0.8329 (multiplicity 9)
Ge1 0.0000 0.0000 0.5980 (multiplicity 3)
S1 0.0000 0.0000 0.2265 (multiplicity 3)
S2 0.0000 0.0000 0.7785 (multiplicity 3)
S3 0.0066 0.5033 0.2260 (multiplicity 9)
S4 0.0329 0.5164 0.7747 (multiplicity 9)